Starting from a PBE-relaxed structure, the powder X-ray diffraction pattern of SrRhS2O8 was simulated for CuKα.

Crystal structure
Cell: 7.8261 7.8261 7.8261 Å, 36.37 36.37 36.37°
Sites, in units of the cell vectors:
Sr  0.0000  0.0000  0.0000
Rh  0.5000  0.5000  0.5000
S  0.2481  0.2481  0.2481
S  0.7519  0.7519  0.7519
O  0.0619  0.7771  0.4782
O  0.2229  0.5218  0.9381
O  0.3165  0.3165  0.3165
O  0.4782  0.0619  0.7771
O  0.5218  0.9381  0.2229
O  0.6835  0.6835  0.6835
O  0.7771  0.4782  0.0619
O  0.9381  0.2229  0.5218

The 10 most intense peaks (15 to 90 degrees two-theta), by angle:
| d_spacing | Position (°2θ) | I/Imax |
| --- | --- | --- |
| 3.946 | 22.53 | 138 |
| 3.348 | 26.63 | 1000 |
| 2.443 | 36.80 | 344 |
| 2.298 | 39.20 | 260 |
| 2.030 | 44.64 | 240 |
| 1.973 | 46.00 | 167 |
| 1.535 | 60.30 | 156 |
| 1.462 | 63.65 | 170 |
| 1.410 | 66.28 | 115 |
| 1.381 | 67.88 | 95 |

Starting from a PBE-relaxed structure, the powder X-ray diffraction pattern of Sb2RhO6 was simulated for CuKα.

Crystal structure
Cell: 9.0105 9.0105 4.7138 Å, 90.00 90.00 120.00°
Sites, in units of the cell vectors:
Sb  0.0000  0.3592  0.0000
Sb  0.0000  0.6930  0.5000
Sb  0.3070  0.3070  0.5000
Sb  0.3592  0.0000  0.0000
Sb  0.6408  0.6408  0.0000
Sb  0.6930  0.0000  0.5000
Rh  0.0000  0.0000  0.0000
Rh  0.3333  0.6667  0.4905
Rh  0.6667  0.3333  0.5095
O  0.1012  0.2184  0.2324
O  0.1140  0.5808  0.2608
O  0.1171  0.8988  0.2324
O  0.2184  0.1012  0.7676
O  0.2207  0.4450  0.7213
O  0.2243  0.7793  0.7213
O  0.4192  0.5331  0.2608
O  0.4450  0.2207  0.2787
O  0.4669  0.8860  0.2608
O  0.5331  0.4192  0.7392
O  0.5550  0.7757  0.7213
O  0.5808  0.1140  0.7392
O  0.7757  0.5550  0.2787
O  0.7793  0.2243  0.2787
O  0.7816  0.8829  0.2324
O  0.8829  0.7816  0.7676
O  0.8860  0.4669  0.7392
O  0.8988  0.1171  0.7676

The 10 most intense peaks (15 to 90 degrees two-theta), by angle:
| d_spacing | Position (°2θ) | I/Imax |
| --- | --- | --- |
| 3.257 | 27.38 | 1000 |
| 3.006 | 29.72 | 253 |
| 2.601 | 34.48 | 494 |
| 2.500 | 35.92 | 137 |
| 2.032 | 44.58 | 220 |
| 1.747 | 52.39 | 512 |
| 1.674 | 54.86 | 144 |
| 1.602 | 57.55 | 175 |
| 1.502 | 61.77 | 153 |
| 1.483 | 62.65 | 154 |

Starting from a PBE-relaxed structure, the powder X-ray diffraction pattern of SbRhO2 was simulated for CuKα.

Crystal structure
Cell: 3.1968 3.1968 19.3605 Å, 90.00 90.00 120.00°
Sites, in units of the cell vectors:
Sb  0.0000  0.0000  0.0000
Sb  0.3333  0.6667  0.6667
Sb  0.6667  0.3333  0.3333
Rh  0.0000  0.0000  0.5000
Rh  0.3333  0.6667  0.1667
Rh  0.6667  0.3333  0.8333
O  0.0000  0.0000  0.1165
O  0.0000  0.0000  0.8835
O  0.3333  0.6667  0.5502
O  0.3333  0.6667  0.7831
O  0.6667  0.3333  0.2169
O  0.6667  0.3333  0.4498

The 10 most intense peaks (15 to 90 degrees two-theta), by angle:
| d_spacing | Position (°2θ) | I/Imax |
| --- | --- | --- |
| 3.227 | 27.65 | 492 |
| 2.662 | 33.67 | 1000 |
| 2.403 | 37.42 | 534 |
| 1.822 | 50.06 | 387 |
| 1.598 | 57.67 | 253 |
| 1.587 | 58.14 | 221 |
| 1.432 | 65.13 | 257 |
| 1.370 | 68.47 | 122 |
| 1.202 | 79.82 | 92 |
| 1.135 | 85.52 | 112 |

Starting from a PBE-relaxed structure, the powder X-ray diffraction pattern of SnSbRhO6 was simulated for CuKα.

Crystal structure
Cell: 4.7357 4.7357 9.5828 Å, 90.00 90.00 90.00°
Sites, in units of the cell vectors:
Sn  0.0000  0.0000  0.0000
Sn  0.5000  0.5000  0.5000
Sb  0.0000  0.0000  0.6675
Sb  0.5000  0.5000  0.1675
Rh  0.0000  0.0000  0.3332
Rh  0.5000  0.5000  0.8332
O  0.1882  0.1882  0.5024
O  0.1931  0.1931  0.8296
O  0.1961  0.1961  0.1677
O  0.3039  0.6961  0.6677
O  0.3069  0.6931  0.3296
O  0.3118  0.6882  0.0024
O  0.6882  0.3118  0.0024
O  0.6931  0.3069  0.3296
O  0.6961  0.3039  0.6677
O  0.8039  0.8039  0.1677
O  0.8069  0.8069  0.8296
O  0.8118  0.8118  0.5024

The 10 most intense peaks (15 to 90 degrees two-theta), by angle:
| d_spacing | Position (°2θ) | I/Imax |
| --- | --- | --- |
| 3.349 | 26.62 | 1000 |
| 2.648 | 33.85 | 799 |
| 2.368 | 38.00 | 226 |
| 1.765 | 51.79 | 671 |
| 1.674 | 54.83 | 160 |
| 1.498 | 61.97 | 149 |
| 1.442 | 64.66 | 160 |
| 1.415 | 66.01 | 202 |
| 1.215 | 78.78 | 132 |
| 1.092 | 89.77 | 117 |

Starting from a PBE-relaxed structure, the powder X-ray diffraction pattern of SrSbRh2O6 was simulated for CuKα.

Crystal structure
Cell: 5.6922 5.6922 5.6922 Å, 59.09 59.09 59.09°
Sites, in units of the cell vectors:
Sr  0.0000  0.0000  0.0000
Sb  0.4758  0.4758  0.4758
Rh  0.2652  0.2652  0.2652
Rh  0.7707  0.7707  0.7707
O  0.0727  0.6014  0.4370
O  0.1366  0.5290  0.9015
O  0.4370  0.0727  0.6014
O  0.5290  0.9015  0.1366
O  0.6014  0.4370  0.0727
O  0.9015  0.1366  0.5290

The 10 most intense peaks (15 to 90 degrees two-theta), by angle:
| d_spacing | Position (°2θ) | I/Imax |
| --- | --- | --- |
| 3.997 | 22.24 | 184 |
| 2.846 | 31.44 | 925 |
| 2.807 | 31.88 | 1000 |
| 1.998 | 45.38 | 449 |
| 1.797 | 50.80 | 249 |
| 1.650 | 55.69 | 101 |
| 1.628 | 56.53 | 392 |
| 1.621 | 56.81 | 280 |
| 1.403 | 66.64 | 139 |
| 1.259 | 75.54 | 140 |

Starting from a PBE-relaxed structure, the powder X-ray diffraction pattern of Sc3RhO was simulated for CuKα.

Crystal structure
Cell: 7.2772 3.2927 7.2957 Å, 90.00 108.07 90.00°
Sites, in units of the cell vectors:
Sc  0.0532  0.0000  0.3146
Sc  0.3136  0.0000  0.0520
Sc  0.3219  0.5000  0.6786
Sc  0.6781  0.5000  0.3214
Sc  0.6864  0.0000  0.9480
Sc  0.9468  0.0000  0.6854
Rh  0.0000  0.5000  0.0000
Rh  0.5000  0.0000  0.5000
O  0.0000  0.5000  0.5000
O  0.5000  0.5000  0.0000

The 10 most intense peaks (15 to 90 degrees two-theta), by angle:
| d_spacing | Position (°2θ) | I/Imax |
| --- | --- | --- |
| 5.898 | 15.02 | 201 |
| 4.279 | 20.76 | 187 |
| 3.464 | 25.72 | 421 |
| 2.974 | 30.05 | 211 |
| 2.610 | 34.37 | 152 |
| 2.428 | 37.02 | 306 |
| 2.421 | 37.13 | 1000 |
| 2.121 | 42.63 | 441 |
| 1.646 | 55.84 | 145 |
| 1.416 | 65.99 | 145 |

Starting from a PBE-relaxed structure, the powder X-ray diffraction pattern of ScRh2O was simulated for CuKα.

Crystal structure
Cell: 4.7036 4.7036 12.6420 Å, 90.00 90.00 90.00°
Sites, in units of the cell vectors:
Sc  0.0000  0.0000  0.0000
Sc  0.0000  0.5000  0.2500
Sc  0.5000  0.0000  0.7500
Sc  0.5000  0.5000  0.5000
Rh  0.0999  0.2500  0.6250
Rh  0.2500  0.5999  0.8750
Rh  0.2500  0.9001  0.3750
Rh  0.4001  0.2500  0.1250
Rh  0.5999  0.7500  0.1250
Rh  0.7500  0.0999  0.3750
Rh  0.7500  0.4001  0.8750
Rh  0.9001  0.7500  0.6250
O  0.0000  0.0000  0.5000
O  0.0000  0.5000  0.7500
O  0.5000  0.0000  0.2500
O  0.5000  0.5000  0.0000

The 10 most intense peaks (15 to 90 degrees two-theta), by angle:
| d_spacing | Position (°2θ) | I/Imax |
| --- | --- | --- |
| 4.408 | 20.14 | 631 |
| 3.160 | 28.24 | 346 |
| 3.139 | 28.44 | 682 |
| 2.943 | 30.37 | 1000 |
| 2.227 | 40.51 | 259 |
| 2.204 | 40.94 | 433 |
| 2.075 | 43.62 | 799 |
| 1.882 | 48.36 | 400 |
| 1.617 | 56.95 | 243 |
| 1.346 | 69.89 | 257 |

Starting from a PBE-relaxed structure, the powder X-ray diffraction pattern of RhSe2O6 was simulated for CuKα.

Crystal structure
Cell: 7.1318 7.1318 7.1318 Å, 40.02 40.02 40.02°
Sites, in units of the cell vectors:
Rh  0.0000  0.0000  0.0000
Se  0.2373  0.2373  0.2373
Se  0.4296  0.4296  0.4296
O  0.0695  0.3870  0.7309
O  0.2634  0.9444  0.6057
O  0.3870  0.7309  0.0695
O  0.6057  0.2634  0.9444
O  0.7309  0.0695  0.3870
O  0.9444  0.6057  0.2634

The 10 most intense peaks (15 to 90 degrees two-theta), by angle:
| d_spacing | Position (°2θ) | I/Imax |
| --- | --- | --- |
| 4.132 | 21.51 | 734 |
| 3.883 | 22.91 | 365 |
| 3.204 | 27.84 | 961 |
| 2.878 | 31.07 | 1000 |
| 2.440 | 36.83 | 552 |
| 2.339 | 38.49 | 256 |
| 1.861 | 48.94 | 274 |
| 1.627 | 56.55 | 421 |
| 1.480 | 62.79 | 256 |
| 1.409 | 66.35 | 238 |